Entry 1:
The following is a calculated powder diffractogram of Pd3Pb4. It was derived from the GGA-PBE geometry in Alexandria, using Cu Kα X-rays.
No peak broadening, texture or thermal motion is included.

Cell and atoms:
```
data_Pd3Pb4
_chemical_formula_sum 'Pd9 Pb12'
_symmetry_space_group_name_H-M 'P -3'
_symmetry_Int_Tables_number 147
_symmetry_space_group_name_Hall '-P 3'
_cell_length_a 12.1920
_cell_length_b 12.1920
_cell_length_c 3.7593
_cell_angle_alpha 90.00
_cell_angle_beta 90.00
_cell_angle_gamma 120.00
loop_
_atom_site_label
_atom_site_fract_x
_atom_site_fract_y
_atom_site_fract_z
_atom_site_occupancy
Pd1 0.0000 0.0000 0.0000 1
Pd2 0.1243 0.4185 0.2593 1
Pd3 0.3333 0.6667 0.2633 1
Pb1 0.0166 0.7786 0.2460 1
Pb2 0.1364 0.6200 0.7610 1
```

Peak list (8 most intense, 2θ from 10° to 90°, by angle)
2θ (°), d [Å], I_rel
30.5, 2.928, 18
32.7, 2.736, 100
39.0, 2.310, 11
39.1, 2.304, 44
48.4, 1.880, 12
51.9, 1.762, 15
63.9, 1.456, 17
66.8, 1.400, 11

***

Entry 2:
The following is a calculated powder diffractogram of PdPb6. It was derived from the GGA-PBE geometry in Alexandria, using Cu Kα X-rays.
No peak broadening, texture or thermal motion is included.

Cell and atoms:
```
data_PdPb6
_chemical_formula_sum 'Pd3 Pb18'
_symmetry_space_group_name_H-M 'R -3'
_symmetry_Int_Tables_number 148
_symmetry_space_group_name_Hall '-R 3'
_cell_length_a 14.1509
_cell_length_b 14.1509
_cell_length_c 3.5056
_cell_angle_alpha 90.00
_cell_angle_beta 90.00
_cell_angle_gamma 120.00
loop_
_atom_site_label
_atom_site_fract_x
_atom_site_fract_y
_atom_site_fract_z
_atom_site_occupancy
Pd1 0.0000 0.0000 0.0000 1
Pb1 0.0335 0.8160 0.7437 1
```

Peak list (8 most intense, 2θ from 10° to 90°, by angle)
2θ (°), d [Å], I_rel
32.0, 2.795, 100
33.5, 2.674, 88
36.8, 2.440, 19
47.0, 1.932, 26
52.4, 1.747, 11
56.1, 1.639, 12
59.0, 1.566, 25
59.9, 1.544, 14

***

Entry 3:
The following is a calculated powder diffractogram of Pm4Pd2Pb. It was derived from the GGA-PBE geometry in Alexandria, using Cu Kα X-rays.
No peak broadening, texture or thermal motion is included.

Cell and atoms:
```
data_Pm4Pd2Pb
_chemical_formula_sum 'Pm16 Pd8 Pb4'
_symmetry_space_group_name_H-M 'I -4 2 d'
_symmetry_Int_Tables_number 122
_symmetry_space_group_name_Hall 'I -4 2bw'
_cell_length_a 9.415
_cell_length_b 9.415
_cell_length_c 8.987
_cell_angle_alpha 90.00
_cell_angle_beta 90.00
_cell_angle_gamma 90.00
loop_
_atom_site_label
_atom_site_fract_x
_atom_site_fract_y
_atom_site_fract_z
_atom_site_occupancy
Pm1 0.065 0.675 0.427 1
Pd1 0.112 0.750 0.125 1
Pb1 0.000 0.000 0.500 1
```

Peak list (8 most intense, 2θ from 10° to 90°, by angle)
2θ (°), d [Å], I_rel
30.0, 2.977, 73
30.2, 2.963, 100
31.3, 2.855, 97
35.8, 2.508, 79
36.2, 2.482, 67
50.2, 1.816, 23
50.9, 1.793, 26
60.7, 1.525, 21

***

Entry 4:
The following is a calculated powder diffractogram of PmPd9Pb2. It was derived from the GGA-PBE geometry in Alexandria, using Cu Kα X-rays.
No peak broadening, texture or thermal motion is included.

Cell and atoms:
```
data_PmPd9Pb2
_chemical_formula_sum 'Pm1 Pd9 Pb2'
_symmetry_space_group_name_H-M 'P 4/m m m'
_symmetry_Int_Tables_number 123
_symmetry_space_group_name_Hall '-P 4 2'
_cell_length_a 4.146
_cell_length_b 4.146
_cell_length_c 12.343
_cell_angle_alpha 90.00
_cell_angle_beta 90.00
_cell_angle_gamma 90.00
loop_
_atom_site_label
_atom_site_fract_x
_atom_site_fract_y
_atom_site_fract_z
_atom_site_occupancy
Pm1 0.000 0.000 0.000 1
Pd1 0.000 0.500 0.171 1
Pd2 0.000 0.500 0.500 1
Pd3 0.500 0.500 0.000 1
Pd4 0.500 0.500 0.337 1
Pb1 0.000 0.000 0.335 1
```

Peak list (8 most intense, 2θ from 10° to 90°, by angle)
2θ (°), d [Å], I_rel
37.7, 2.388, 100
43.7, 2.073, 33
44.0, 2.057, 16
63.5, 1.466, 11
63.7, 1.460, 21
76.2, 1.249, 25
76.7, 1.242, 12
80.4, 1.194, 11